The following is a computed X-ray diffraction stick pattern of MgAu2S4O16. It was derived from DFT lattice parameters and positions (GGA-PBE), using λ = 1.5418 Å (Cu Kα).

Structure:
Unit cell a=10.095 b=9.031 c=11.313 alpha=58.22 beta=49.50 gamma=72.28
Element x y z (fractional)
1 Mg 0.000 0.000 0.000
2 Mg 0.250 0.250 0.250
3 Au 0.017 0.581 0.728
4 Au 0.522 0.575 0.233
5 Au 0.575 0.522 0.669
6 Au 0.581 0.017 0.675
7 S 0.190 0.326 0.558
8 S 0.323 0.692 0.924
9 S 0.326 0.190 0.927
10 S 0.360 0.829 0.396
11 S 0.692 0.323 0.060
12 S 0.829 0.360 0.416
13 S 0.834 0.854 0.421
14 S 0.854 0.834 0.890
15 O 0.073 0.480 0.575
16 O 0.128 0.174 0.726
17 O 0.174 0.128 0.972
18 O 0.186 0.814 0.952
19 O 0.201 0.298 0.436
20 O 0.258 0.983 0.387
21 O 0.261 0.677 0.583
22 O 0.278 0.524 0.076
23 O 0.298 0.201 0.064
24 O 0.366 0.771 0.285
25 O 0.370 0.380 0.483
26 O 0.378 0.675 0.770
27 O 0.380 0.370 0.768
28 O 0.480 0.073 0.872
29 O 0.482 0.767 0.870
30 O 0.524 0.278 0.122
31 O 0.528 0.843 0.347
32 O 0.667 0.771 0.989
33 O 0.672 0.965 0.479
34 O 0.675 0.378 0.177
35 O 0.677 0.261 0.479
36 O 0.767 0.482 0.880
37 O 0.771 0.366 0.578
38 O 0.771 0.667 0.573
39 O 0.814 0.186 0.049
40 O 0.843 0.528 0.282
41 O 0.863 0.879 0.992
42 O 0.879 0.863 0.267
43 O 0.903 0.968 0.722
44 O 0.965 0.672 0.884
45 O 0.968 0.903 0.407
46 O 0.983 0.258 0.371

The 12 most intense peaks (2θ from 15° to 90°), in order of rising 2θ:
2theta  I (rel.)
18.61  66.0
20.63  100.0
23.21  34.6
24.27  23.3
26.41  33.1
26.61  39.9
27.92  23.4
30.45  41.3
32.07  50.6
37.74  20.8
40.13  19.3
46.03  16.8